Diffraction record for Ca6Co3RhO12. The powder XRD pattern is simulated, not measured: it uses a crystal structure in Alexandria, relaxed with PBE+U and Cu Kα (λ = 1.5418 Å).
Peak positions follow from Bragg's law for the DFT cell and can differ from measured ones.

Main lines, in order of rising 2θ (2θ from 15° to 90°):
| d (Å) | Rel. int. | hkl |
| --- | --- | --- |
| 4.554 | 92 | 1 1 0 |
| 2.812 | 39 | 2 -1 3 |
| 2.629 | 100 | 3 0 0 |
| 2.218 | 39 | 0 2 4 |
| 2.144 | 19 | 1 3 1 |
| 1.994 | 56 | 3 -1 4 |
| 1.921 | 35 | 2 2 3 |
| 1.695 | 19 | 4 -3 4 |
| 1.518 | 15 | 3 3 0 |
| 1.500 | 32 | 5 -2 4 |

Atomic structure:
```
data_Ca6Co3RhO12
_cell_length_a 9.1088
_cell_length_b 9.1088
_cell_length_c 10.7265
_cell_angle_alpha 90.00
_cell_angle_beta 90.00
_cell_angle_gamma 120.00
_symmetry_space_group_name_H-M 'R -3'
_symmetry_Int_Tables_number 148
_symmetry_space_group_name_Hall '-R 3'
loop_
_atom_site_label
_atom_site_type_symbol
_atom_site_fract_x
_atom_site_fract_y
_atom_site_fract_z
Ca1 Ca 0.0025 0.6334 0.2508
Co1 Co 0.0000 0.0000 0.2573
Co2 Co 0.0000 0.0000 0.5000
Rh1 Rh 0.0000 0.0000 0.0000
O1 O 0.0250 0.1779 0.8754
O2 O 0.0254 0.8509 0.3860
```